[1]
Diffraction record for Mn3P2O8. The powder XRD pattern is theoretical, not measured: it uses DFT lattice parameters and positions (GGA+U) and Cu Kα X-rays.

a b c (Å): 5.2545 8.7947 9.2662
angles (deg): 90.00 121.31 90.00
Positions (direct):
1 Mn 0.0000 0.0000 0.0000
2 Mn 0.0000 0.5000 0.5000
3 Mn 0.0326 0.1442 0.6178
4 Mn 0.0326 0.3558 0.1178
5 Mn 0.9674 0.6442 0.8822
6 Mn 0.9674 0.8558 0.3822
7 P 0.3254 0.6926 0.2952
8 P 0.3254 0.8074 0.7952
9 P 0.6746 0.1926 0.2048
10 P 0.6746 0.3074 0.7048
11 O 0.1801 0.5804 0.1427
12 O 0.1801 0.9196 0.6427
13 O 0.1854 0.6456 0.7361
14 O 0.1854 0.8544 0.2361
15 O 0.2514 0.6444 0.4305
16 O 0.2514 0.8556 0.9305
17 O 0.3339 0.1930 0.1302
18 O 0.3339 0.3070 0.6302
19 O 0.6661 0.6930 0.3698
20 O 0.6661 0.8070 0.8698
21 O 0.7486 0.1444 0.0695
22 O 0.7486 0.3556 0.5695
23 O 0.8146 0.1456 0.7639
24 O 0.8146 0.3544 0.2639
25 O 0.8199 0.0804 0.3573
26 O 0.8199 0.4196 0.8573

The 10 most intense peaks (2θ = 10–90°), by intensity:
- d 3.609, I 100.0
- d 4.491, I 94.0
- d 2.559, I 48.3
- d 4.266, I 37.7
- d 3.998, I 32.3
- d 2.612, I 30.0
- d 2.623, I 27.1
- d 2.526, I 22.3
- d 2.942, I 21.8
- d 3.370, I 18.7

***

[2]
Diffraction record for MnP4O12. The powder XRD pattern is theoretical, not measured: it uses DFT lattice parameters and positions (GGA+U) and Cu Kα X-rays.

a b c (Å): 7.3439 7.4384 9.8576
angles (deg): 92.38 110.93 113.55
Positions (direct):
1 Mn 0.0000 0.0000 0.0000
2 Mn 0.0000 0.5000 0.5000
3 P 0.0151 0.3491 0.8160
4 P 0.2632 0.7504 0.0225
5 P 0.2827 0.2675 0.5395
6 P 0.4852 0.3066 0.3192
7 P 0.5148 0.6934 0.6808
8 P 0.7173 0.7325 0.4605
9 P 0.7368 0.2496 0.9775
10 P 0.9849 0.6509 0.1840
11 O 0.0398 0.6487 0.3468
12 O 0.0574 0.1729 0.8584
13 O 0.1019 0.8244 0.9311
14 O 0.1219 0.3405 0.4399
15 O 0.1797 0.6489 0.1471
16 O 0.2117 0.1025 0.6156
17 O 0.2227 0.5537 0.9166
18 O 0.2908 0.6889 0.6383
19 O 0.3245 0.1908 0.1675
20 O 0.3956 0.2157 0.4406
21 O 0.4865 0.4671 0.6607
22 O 0.4990 0.1155 0.9028
23 O 0.5010 0.8845 0.0972
24 O 0.5135 0.5329 0.3393
25 O 0.6044 0.7843 0.5594
26 O 0.6755 0.8092 0.8325
27 O 0.7092 0.3111 0.3617
28 O 0.7773 0.4463 0.0834
29 O 0.7883 0.8975 0.3844
30 O 0.8203 0.3511 0.8529
31 O 0.8781 0.6595 0.5601
32 O 0.8981 0.1756 0.0689
33 O 0.9426 0.8271 0.1416
34 O 0.9602 0.3513 0.6532

The 10 most intense peaks (2θ = 10–90°), by intensity:
- d 4.599, I 100.0
- d 3.085, I 98.8
- d 2.934, I 90.2
- d 4.873, I 64.5
- d 4.496, I 56.8
- d 4.642, I 53.3
- d 6.005, I 53.2
- d 6.146, I 50.3
- d 3.334, I 49.0
- d 6.659, I 44.6

***

[3]
Diffraction record for MnP3O9. The powder XRD pattern is theoretical, not measured: it uses DFT lattice parameters and positions (GGA+U) and Cu Kα X-rays.

a b c (Å): 7.0369 7.0392 7.2239
angles (deg): 73.88 85.42 88.48
Positions (direct):
1 Mn 0.1596 0.0824 0.1406
2 Mn 0.8404 0.9176 0.8594
3 P 0.1296 0.7613 0.5567
4 P 0.3216 0.3914 0.7613
5 P 0.3506 0.9795 0.7751
6 P 0.6494 0.0205 0.2249
7 P 0.6784 0.6086 0.2387
8 P 0.8704 0.2387 0.4433
9 O 0.0526 0.2235 0.3231
10 O 0.1195 0.8325 0.3398
11 O 0.1783 0.3239 0.9396
12 O 0.1872 0.9359 0.9361
13 O 0.1945 0.5386 0.6002
14 O 0.2989 0.8783 0.6129
15 O 0.3394 0.2089 0.6611
16 O 0.4532 0.0805 0.1714
17 O 0.4938 0.5232 0.2274
18 O 0.5062 0.4768 0.7726
19 O 0.5468 0.9195 0.8286
20 O 0.6606 0.7911 0.3389
21 O 0.7011 0.1217 0.3871
22 O 0.8055 0.4614 0.3998
23 O 0.8128 0.0641 0.0639
24 O 0.8217 0.6761 0.0604
25 O 0.8805 0.1675 0.6602
26 O 0.9474 0.7765 0.6769

The 10 most intense peaks (2θ = 10–90°), by intensity:
- d 6.762, I 100.0
- d 4.566, I 70.6
- d 3.077, I 55.1
- d 4.281, I 47.7
- d 2.753, I 47.0
- d 2.843, I 43.1
- d 3.038, I 40.7
- d 3.014, I 37.6
- d 3.228, I 34.2
- d 4.750, I 31.9

***

[4]
Diffraction record for Mn3TeP2Pb3O14. The powder XRD pattern is theoretical, not measured: it uses DFT lattice parameters and positions (GGA+U) and Cu Kα X-rays.

a b c (Å): 8.6581 8.6581 5.4162
angles (deg): 90.00 90.00 120.00
Positions (direct):
1 Mn 0.0000 0.2530 0.0000
2 Mn 0.2530 0.0000 0.0000
3 Mn 0.7470 0.7470 0.0000
4 Te 0.0000 0.0000 0.5000
5 P 0.3333 0.6667 0.0643
6 P 0.6667 0.3333 0.9357
7 Pb 0.0000 0.6037 0.5000
8 Pb 0.3963 0.3963 0.5000
9 Pb 0.6037 0.0000 0.5000
10 O 0.0858 0.8742 0.7083
11 O 0.1258 0.2116 0.7083
12 O 0.2069 0.4763 0.1743
13 O 0.2116 0.1258 0.2917
14 O 0.2695 0.7931 0.1743
15 O 0.3333 0.6667 0.7805
16 O 0.4763 0.2069 0.8257
17 O 0.5237 0.7305 0.1743
18 O 0.6667 0.3333 0.2195
19 O 0.7305 0.5237 0.8257
20 O 0.7884 0.9142 0.7083
21 O 0.7931 0.2695 0.8257
22 O 0.8742 0.0858 0.2917
23 O 0.9142 0.7884 0.2917

The 10 most intense peaks (2θ = 10–90°), by intensity:
- d 3.382, I 100.0
- d 3.083, I 64.6
- d 5.416, I 30.9
- d 4.329, I 27.7
- d 1.941, I 23.7
- d 1.639, I 22.1
- d 2.834, I 20.6
- d 1.958, I 19.9
- d 1.837, I 19.4
- d 2.499, I 19.3

***

[5]
Diffraction record for Rb2MnPO4. The powder XRD pattern is theoretical, not measured: it uses DFT lattice parameters and positions (GGA+U) and Cu Kα X-rays.

a b c (Å): 12.7093 11.4527 6.7122
angles (deg): 84.52 63.77 31.72
Positions (direct):
1 Rb 0.0519 0.0519 0.6981
2 Rb 0.3019 0.3019 0.9481
3 Rb 0.6981 0.6981 0.0519
4 Rb 0.9481 0.9481 0.3019
5 Mn 0.1250 0.1250 0.1250
6 Mn 0.8750 0.8750 0.8750
7 P 0.3750 0.3750 0.3750
8 P 0.6250 0.6250 0.6250
9 O 0.0858 0.5870 0.5167
10 O 0.3105 0.5167 0.5870
11 O 0.4130 0.9142 0.6895
12 O 0.4833 0.6895 0.9142
13 O 0.5167 0.3105 0.0858
14 O 0.5870 0.0858 0.3105
15 O 0.6895 0.4833 0.4130
16 O 0.9142 0.4130 0.4833

The 10 most intense peaks (2θ = 10–90°), by intensity:
- d 3.175, I 100.0
- d 4.123, I 65.7
- d 2.990, I 47.5
- d 2.480, I 43.4
- d 2.634, I 43.2
- d 3.070, I 41.6
- d 1.782, I 40.4
- d 2.188, I 31.5
- d 3.312, I 24.2
- d 5.564, I 23.6